(1)
# Pa2Hg4O9
Calculated PXRD pattern, a wavelength of 1.5418 Å. Input: a crystal structure in Alexandria, relaxed with GGA-PBE.
Peak positions follow from Bragg's law for the DFT cell and can differ from measured ones.

Cell and atoms:
Cell: 5.890 5.890 16.679 Å, 98.85 98.85 65.66°
Atoms (fractional coordinates):
1 Pa 0.007 0.973 0.648
2 Pa 0.027 0.993 0.852
3 Pa 0.973 0.007 0.148
4 Pa 0.993 0.027 0.352
5 Hg 0.310 0.383 0.314
6 Hg 0.331 0.331 0.029
7 Hg 0.331 0.331 0.529
8 Hg 0.383 0.310 0.814
9 Hg 0.617 0.690 0.186
10 Hg 0.669 0.669 0.471
11 Hg 0.669 0.669 0.971
12 Hg 0.690 0.617 0.686
13 O 0.006 0.278 0.259
14 O 0.006 0.744 0.408
15 O 0.084 0.297 0.928
16 O 0.223 0.777 0.250
17 O 0.256 0.994 0.092
18 O 0.278 0.006 0.759
19 O 0.297 0.084 0.428
20 O 0.349 0.631 0.610
21 O 0.369 0.651 0.890
22 O 0.631 0.349 0.110
23 O 0.651 0.369 0.390
24 O 0.703 0.916 0.572
25 O 0.722 0.994 0.241
26 O 0.744 0.006 0.908
27 O 0.777 0.223 0.750
28 O 0.916 0.703 0.072
29 O 0.994 0.256 0.592
30 O 0.994 0.722 0.741

Peak list (10 most intense, 10 to 80 degrees two-theta, most intense first)
28.76°, I = 100
30.92°, I = 97
25.73°, I = 73
27.94°, I = 67
38.35°, I = 49
51.34°, I = 27
50.15°, I = 24
41.60°, I = 23
18.90°, I = 22
49.95°, I = 22

***

(2)
# PaHg2O6
Calculated PXRD pattern, a wavelength of 1.5418 Å. Input: a crystal structure in Alexandria, relaxed with GGA-PBE.
Peak positions follow from Bragg's law for the DFT cell and can differ from measured ones.

Cell and atoms:
Cell: 6.151 7.202 9.039 Å, 94.16 101.08 98.03°
Atoms (fractional coordinates):
1 Pa 0.211 0.055 0.400
2 Pa 0.789 0.945 0.600
3 Hg 0.264 0.207 0.905
4 Hg 0.408 0.591 0.336
5 Hg 0.592 0.409 0.664
6 Hg 0.736 0.793 0.095
7 O 0.004 0.502 0.932
8 O 0.009 0.982 0.181
9 O 0.031 0.830 0.485
10 O 0.344 0.309 0.329
11 O 0.460 0.586 0.027
12 O 0.499 0.878 0.375
13 O 0.501 0.122 0.625
14 O 0.540 0.414 0.973
15 O 0.656 0.691 0.671
16 O 0.969 0.170 0.515
17 O 0.991 0.018 0.819
18 O 0.996 0.498 0.068

Peak list (10 most intense, 10 to 80 degrees two-theta, most intense first)
17.87°, I = 100
27.50°, I = 74
34.05°, I = 60
22.48°, I = 55
15.20°, I = 46
25.93°, I = 40
30.69°, I = 40
28.06°, I = 37
25.08°, I = 33
10.02°, I = 28

***

> What is the formula in the second record?

PaHg2O6